Computed powder X-ray diffraction pattern
Compound: Nd2Zn16Ag
Radiation: Cu Kα
Structure: a crystal structure in Alexandria, relaxed with PBE
Lines closer than 0.1° are merged.

Structure:
Cell lengths 6.869, 6.869, 6.869 Å; angles 82.73, 82.73, 82.73 degrees
Element x y z (fractional)
Nd  0.000  0.000  0.000
Nd  0.325  0.325  0.325
Zn  0.014  0.014  0.501
Zn  0.014  0.501  0.014
Zn  0.164  0.662  0.662
Zn  0.310  0.310  0.825
Zn  0.310  0.825  0.310
Zn  0.369  0.663  0.956
Zn  0.369  0.956  0.663
Zn  0.501  0.014  0.014
Zn  0.558  0.558  0.558
Zn  0.662  0.164  0.662
Zn  0.662  0.662  0.164
Zn  0.663  0.369  0.956
Zn  0.663  0.956  0.369
Zn  0.825  0.310  0.310
Zn  0.956  0.369  0.663
Zn  0.956  0.663  0.369
Ag  0.760  0.760  0.760

Top 6 peaks for 10° ≤ 2θ ≤ 90°, most intense first:
39.95 deg, intensity 100
39.71 deg, intensity 70
40.66 deg, intensity 53
34.22 deg, intensity 45
44.85 deg, intensity 37
35.33 deg, intensity 32

Computed powder X-ray diffraction pattern
Compound: K2SiSnSe4
Radiation: Cu Kα
Structure: a crystal structure in Alexandria, relaxed with PBE
Lines closer than 0.1° are merged.

Structure:
Cell lengths 8.627, 8.627, 8.627 Å; angles 124.05, 117.49, 88.77 degrees
Element x y z (fractional)
K  0.000  0.000  0.000
K  0.500  0.000  0.000
K  0.500  0.000  0.500
K  0.500  0.500  0.500
Si  0.000  0.000  0.500
Si  0.000  0.500  0.000
Sn  0.000  0.500  0.500
Sn  0.500  0.500  0.000
Se  0.191  0.746  0.445
Se  0.197  0.206  0.508
Se  0.197  0.689  0.992
Se  0.199  0.254  0.945
Se  0.801  0.746  0.055
Se  0.803  0.311  0.008
Se  0.803  0.794  0.492
Se  0.809  0.254  0.555

Top 6 peaks for 10° ≤ 2θ ≤ 90°, most intense first:
29.76 deg, intensity 100
42.01 deg, intensity 45
28.97 deg, intensity 38
12.22 deg, intensity 28
32.62 deg, intensity 23
13.08 deg, intensity 20